Na3Si2PO8: theoretical X-ray diffraction stick pattern (copper Kα), based on a structure optimized by DFT (GGA-PBE).
Lines closer than 0.1° are merged.

Main lines, in order of rising 2θ (2θ = 15–90°):
2θ 16.0, I 24.0, (0 2 0); 2θ 17.8, I 100.0, (0 2 1); 2θ 19.9, I 45.3, (1 0 2); 2θ 21.6, I 14.9, (1 2 1); 2θ 22.5, I 37.8, (0 2 2); 2θ 25.6, I 13.5, (1 2 2); 2θ 26.6, I 13.6, (1 0 -3); 2θ 28.9, I 23.1, (0 3 2); 2θ 30.3, I 12.2, (2 1 2); 2θ 35.2, I 21.3, (2 1 3)

Crystal structure
Cell: 7.2814 11.0727 11.3043 Å, 90.00 90.01 90.00°
Fractional positions:
Na  0.0281  0.0000  0.2453
Na  0.1364  0.8124  0.8235
Na  0.2187  0.2629  0.7395
Na  0.2808  0.4055  0.2395
Na  0.3637  0.8566  0.3230
Na  0.4716  0.6689  0.7458
Na  0.5284  0.1689  0.2542
Na  0.6363  0.3566  0.6770
Na  0.7192  0.9055  0.7605
Na  0.7813  0.7629  0.2605
Na  0.8636  0.3124  0.1765
Na  0.9719  0.5000  0.7547
Si  0.1228  0.7028  0.1222
Si  0.2209  0.1550  0.0305
Si  0.2795  0.5135  0.5310
Si  0.3770  0.9656  0.6221
Si  0.6230  0.4656  0.3779
Si  0.7205  0.0135  0.4690
Si  0.7791  0.6550  0.9695
Si  0.8772  0.2028  0.8778
P  0.1171  0.0592  0.5135
P  0.3830  0.6088  0.0141
P  0.6170  0.1088  0.9859
P  0.8829  0.5592  0.4865
O  0.0744  0.1432  0.9180
O  0.0777  0.4970  0.4536
O  0.0932  0.7936  0.2277
O  0.1628  0.6454  0.6972
O  0.1761  0.2637  0.1171
O  0.2191  0.0789  0.6458
O  0.2213  0.0151  0.0862
O  0.2480  0.7321  0.9979
O  0.2516  0.9358  0.4978
O  0.2793  0.6536  0.5864
O  0.2809  0.5896  0.1465
O  0.3237  0.4050  0.6178
O  0.3376  0.0236  0.1969
O  0.4071  0.8751  0.7280
O  0.4224  0.1716  0.9532
O  0.4256  0.5250  0.4187
O  0.5744  0.0250  0.5813
O  0.5776  0.6716  0.0468
O  0.5929  0.3751  0.2720
O  0.6624  0.5236  0.8031
O  0.6763  0.9050  0.3822
O  0.7191  0.0896  0.8535
O  0.7207  0.1536  0.4136
O  0.7484  0.4358  0.5022
O  0.7520  0.2321  0.0021
O  0.7787  0.5151  0.9138
O  0.7809  0.5789  0.3542
O  0.8239  0.7637  0.8829
O  0.8372  0.1454  0.3028
O  0.9068  0.2936  0.7723
O  0.9223  0.9970  0.5464
O  0.9256  0.6432  0.0820